For Pa2Pd2S7, a structure optimized by DFT (PBE) gives the calculated X-ray diffraction stick pattern in this record (copper Kα).

Atomic structure:
abc: 12.2631 12.2631 12.2631
angles: 90.00 90.00 90.00
Space group Fd-3m (No. 227, origin choice 2)
Asymmetric unit:
Pa1 0.0000 0.0000 0.0000 x16
Pd1 0.0000 0.0000 0.5000 x16
S1 0.0999 0.3750 0.8750 x48
S2 0.1250 0.1250 0.1250 x8

Most intense lines, 10° ≤ 2θ ≤ 90°, in order of falling intensity:
two_theta  I (rel.)  (hkl)
25.16  100.0  2 2 2
41.66  67.0  4 4 0
49.29  49.4  6 2 2
29.13  22.7  4 0 0
76.04  20.5  8 4 4
66.47  20.3  6 6 2
81.58  15.5  10 2 2
12.50  14.1  1 1 1